Record 1
This entry pairs a crystal structure of Nd5Dy12Pu with its simulated powder X-ray diffraction pattern. Radiation: λ = 1.5418 Å (Cu Kα). Structure: a structure optimized by DFT (GGA-PBE).

Cell and atoms:
```
Nd5Dy12Pu
1.0
5.673 -8.677 0.000
5.673 8.677 0.000
-0.043 0.000 5.955
Nd Dy Pu
5 12 1
Direct
0.000 0.000 0.000 Nd
0.161 0.839 0.500 Nd
0.329 0.671 0.000 Nd
0.671 0.329 0.000 Nd
0.839 0.161 0.500 Nd
0.014 0.344 0.954 Dy
0.163 0.495 0.456 Dy
0.187 0.187 0.558 Dy
0.334 0.334 0.057 Dy
0.344 0.014 0.954 Dy
0.495 0.163 0.456 Dy
0.505 0.837 0.544 Dy
0.656 0.986 0.046 Dy
0.666 0.666 0.943 Dy
0.813 0.813 0.442 Dy
0.837 0.505 0.544 Dy
0.986 0.656 0.046 Dy
0.500 0.500 0.500 Pu
```

The 10 most intense peaks (2θ = 15–90°), in order of rising 2θ:
d [Å]	2theta	Rel. int.
2.978	30.01	49.2
2.892	30.92	58.8
2.802	31.94	100.0
2.788	32.10	96.5
2.075	43.63	35.2
1.891	48.12	15.5
1.686	54.41	13.1
1.652	55.63	21.2
1.649	55.74	19.9
1.583	58.30	17.4

---

Record 2
This entry pairs a crystal structure of Nd4Dy3PuS8 with its simulated powder X-ray diffraction pattern. Radiation: λ = 1.5418 Å (Cu Kα). Structure: a structure optimized by DFT (GGA-PBE).

Cell and atoms:
```
Nd4Dy3PuS8
1.0
3.980 2.298 6.566
-3.980 2.298 6.566
0.000 -4.596 6.566
Nd Dy Pu S
4 3 1 8
Direct
0.000 0.000 0.000 Nd
0.000 0.500 0.500 Nd
0.500 0.000 0.500 Nd
0.500 0.500 0.000 Nd
0.000 0.000 0.500 Dy
0.000 0.500 0.000 Dy
0.500 0.000 0.000 Dy
0.500 0.500 0.500 Pu
0.244 0.746 0.746 S
0.245 0.245 0.245 S
0.254 0.254 0.756 S
0.254 0.756 0.254 S
0.746 0.244 0.746 S
0.746 0.746 0.244 S
0.755 0.755 0.755 S
0.756 0.254 0.254 S
```

The 10 most intense peaks (2θ = 15–90°), in order of rising 2θ:
d [Å]	2theta	Rel. int.
3.283	27.16	21.1
3.254	27.41	61.6
2.824	31.68	100.0
2.004	45.26	36.5
1.990	45.58	36.0
1.702	53.87	20.6
1.627	56.57	18.8
1.266	75.00	16.1
1.260	75.48	16.1
1.152	84.05	12.3

---

Record 3
This entry pairs a crystal structure of Nd3DyRh with its simulated powder X-ray diffraction pattern. Radiation: λ = 1.5418 Å (Cu Kα). Structure: a structure optimized by DFT (GGA-PBE).

Cell and atoms:
```
Nd3DyRh
1.0
-4.422 4.182 4.310
4.422 -4.182 4.310
4.422 4.182 -4.310
Nd Dy Rh
6 2 2
Direct
0.211 0.052 0.263 Nd
0.211 0.448 0.659 Nd
0.261 0.551 0.209 Nd
0.342 0.051 0.791 Nd
0.789 0.552 0.341 Nd
0.789 0.948 0.737 Nd
0.658 0.952 0.206 Dy
0.746 0.452 0.794 Dy
0.138 0.749 0.889 Rh
0.860 0.249 0.111 Rh
```

The 10 most intense peaks (2θ = 15–90°), in order of rising 2θ:
d [Å]	2theta	Rel. int.
3.087	28.93	62.6
3.039	29.39	87.0
3.001	29.77	100.0
2.781	32.19	53.6
2.717	32.96	45.4
2.656	33.75	72.6
2.336	38.53	26.1
2.317	38.87	37.5
1.846	49.36	24.2
1.731	52.89	21.4

---

Record 4
This entry pairs a crystal structure of Nd2Dy2Rh3 with its simulated powder X-ray diffraction pattern. Radiation: λ = 1.5418 Å (Cu Kα). Structure: a structure optimized by DFT (GGA-PBE).

Cell and atoms:
```
Nd2Dy2Rh3
1.0
-4.362 4.362 4.362
4.362 -4.362 4.362
4.362 4.362 -4.362
Nd Dy Rh
4 4 6
Direct
0.000 0.127 0.500 Nd
0.127 0.500 0.000 Nd
0.373 0.373 0.373 Nd
0.500 0.000 0.127 Nd
0.000 0.613 0.500 Dy
0.500 0.000 0.613 Dy
0.613 0.500 0.000 Dy
0.887 0.887 0.887 Dy
0.092 0.842 0.250 Rh
0.250 0.092 0.842 Rh
0.408 0.658 0.750 Rh
0.658 0.750 0.408 Rh
0.750 0.408 0.658 Rh
0.842 0.250 0.092 Rh
```

The 10 most intense peaks (2θ = 15–90°), in order of rising 2θ:
d [Å]	2theta	Rel. int.
3.085	28.95	16.7
2.759	32.45	100.0
2.332	38.61	55.2
1.860	48.97	11.1
1.781	51.30	12.6
1.711	53.56	35.2
1.415	66.01	18.9
1.380	67.95	10.0
1.346	69.87	12.5
1.187	80.98	15.1

---

Record 5
This entry pairs a crystal structure of Nd2DyRh2 with its simulated powder X-ray diffraction pattern. Radiation: λ = 1.5418 Å (Cu Kα). Structure: a structure optimized by DFT (GGA-PBE).

Cell and atoms:
```
Nd2DyRh2
1.0
4.732 0.000 0.000
-2.366 4.098 0.000
0.000 0.000 18.956
Nd Dy Rh
6 3 6
Direct
0.000 0.000 0.221 Nd
0.000 0.000 0.779 Nd
0.333 0.667 0.446 Nd
0.333 0.667 0.888 Nd
0.667 0.333 0.112 Nd
0.667 0.333 0.554 Nd
0.000 0.000 0.000 Dy
0.333 0.667 0.667 Dy
0.667 0.333 0.333 Dy
0.000 0.000 0.384 Rh
0.000 0.000 0.616 Rh
0.333 0.667 0.051 Rh
0.333 0.667 0.282 Rh
0.667 0.333 0.718 Rh
0.667 0.333 0.949 Rh
```

The 10 most intense peaks (2θ = 15–90°), in order of rising 2θ:
d [Å]	2theta	Rel. int.
3.100	28.80	11.3
2.783	32.16	100.0
2.366	38.03	83.6
2.051	44.15	18.1
1.803	50.64	27.8
1.720	53.24	8.9
1.434	65.04	26.0
1.374	68.27	11.0
1.366	68.71	14.5
1.183	81.33	9.1

---

Record 6
This entry pairs a crystal structure of NdDy3Ru8 with its simulated powder X-ray diffraction pattern. Radiation: λ = 1.5418 Å (Cu Kα). Structure: a structure optimized by DFT (GGA-PBE).

Cell and atoms:
```
NdDy3Ru8
1.0
2.672 1.543 8.796
-2.672 1.543 8.796
0.000 -3.086 8.796
Nd Dy Ru
1 3 8
Direct
0.000 0.000 0.000 Nd
0.375 0.375 0.375 Dy
0.499 0.499 0.499 Dy
0.875 0.875 0.875 Dy
0.187 0.187 0.187 Ru
0.437 0.437 0.934 Ru
0.437 0.934 0.437 Ru
0.442 0.937 0.937 Ru
0.687 0.687 0.687 Ru
0.934 0.437 0.437 Ru
0.937 0.442 0.937 Ru
0.937 0.937 0.442 Ru
```

The 10 most intense peaks (2θ = 15–90°), in order of rising 2θ:
d [Å]	2theta	Rel. int.
2.686	33.36	28.3
2.672	33.53	28.0
2.292	39.30	34.1
2.282	39.48	100.0
2.184	41.34	27.3
1.546	59.84	10.6
1.458	63.84	16.1
1.456	63.94	15.9
1.343	70.06	17.3
1.336	70.47	17.1

---

Record 7
This entry pairs a crystal structure of Nd2DyS3 with its simulated powder X-ray diffraction pattern. Radiation: λ = 1.5418 Å (Cu Kα). Structure: a structure optimized by DFT (GGA-PBE).

Cell and atoms:
```
Nd2DyS3
1.0
4.011 0.000 0.000
-2.005 3.473 0.000
0.000 0.000 9.859
Nd Dy S
2 1 3
Direct
0.333 0.667 0.169 Nd
0.667 0.333 0.831 Nd
0.000 0.000 0.500 Dy
0.000 0.000 0.000 S
0.333 0.667 0.655 S
0.667 0.333 0.345 S
```

The 10 most intense peaks (2θ = 15–90°), in order of rising 2θ:
d [Å]	2theta	Rel. int.
3.279	27.20	77.2
2.839	31.51	100.0
2.010	45.10	36.0
2.005	45.22	36.1
1.713	53.50	29.1
1.638	56.15	18.8
1.420	65.78	11.5
1.271	74.68	15.7
1.269	74.84	16.0
1.158	83.44	18.2

---

Record 8
This entry pairs a crystal structure of Nd4DyS6 with its simulated powder X-ray diffraction pattern. Radiation: λ = 1.5418 Å (Cu Kα). Structure: a structure optimized by DFT (GGA-PBE).

Cell and atoms:
```
Nd4DyS6
1.0
1.963 -6.698 0.000
1.963 6.698 0.000
0.000 0.000 20.406
Nd Dy S
8 2 12
Direct
0.090 0.910 0.630 Nd
0.090 0.910 0.870 Nd
0.360 0.640 0.541 Nd
0.360 0.640 0.959 Nd
0.640 0.360 0.041 Nd
0.640 0.360 0.459 Nd
0.910 0.090 0.130 Nd
0.910 0.090 0.370 Nd
0.153 0.847 0.250 Dy
0.847 0.153 0.750 Dy
0.000 0.000 0.000 S
0.000 0.000 0.500 S
0.202 0.798 0.750 S
0.271 0.729 0.091 S
0.271 0.729 0.409 S
0.445 0.555 0.671 S
0.445 0.555 0.829 S
0.555 0.445 0.171 S
0.555 0.445 0.329 S
0.729 0.271 0.591 S
0.729 0.271 0.909 S
0.798 0.202 0.250 S
```

The 10 most intense peaks (2θ = 15–90°), in order of rising 2θ:
d [Å]	2theta	Rel. int.
3.535	25.19	28.3
3.485	25.56	100.0
3.349	26.62	28.5
3.298	27.04	50.1
2.919	30.63	27.2
2.833	31.58	76.8
2.706	33.11	48.9
2.112	42.81	37.4
1.963	46.24	26.3
1.711	53.57	26.9

---

Record 9
This entry pairs a crystal structure of Nd2Sm3DyS6 with its simulated powder X-ray diffraction pattern. Radiation: λ = 1.5418 Å (Cu Kα). Structure: a structure optimized by DFT (GGA-PBE).

Cell and atoms:
```
Nd2Sm3DyS6
1.0
3.471 -6.032 0.000
3.471 6.032 0.000
-2.319 0.000 6.542
Nd Sm Dy S
2 3 1 6
Direct
0.167 0.833 0.000 Nd
0.833 0.167 0.000 Nd
0.000 0.000 0.500 Sm
0.329 0.671 0.500 Sm
0.671 0.329 0.500 Sm
0.500 0.500 0.000 Dy
0.093 0.417 0.751 S
0.260 0.260 0.252 S
0.417 0.093 0.751 S
0.583 0.907 0.249 S
0.740 0.740 0.748 S
0.907 0.583 0.249 S
```

The 10 most intense peaks (2θ = 15–90°), in order of rising 2θ:
d [Å]	2theta	Rel. int.
3.280	27.19	38.6
3.271	27.26	38.4
2.837	31.54	100.0
2.005	45.23	60.1
1.712	53.52	19.0
1.709	53.62	19.0
1.640	56.08	12.5
1.636	56.24	12.5
1.268	74.86	21.2
1.157	83.59	12.1

---

Record 10
This entry pairs a crystal structure of NdSmDy2S6 with its simulated powder X-ray diffraction pattern. Radiation: λ = 1.5418 Å (Cu Kα). Structure: a structure optimized by DFT (GGA-PBE).

Cell and atoms:
```
NdSmDy2S6
1.0
3.517 2.030 6.207
-3.517 2.030 6.207
0.000 -4.061 6.207
Nd Sm Dy S
1 1 2 6
Direct
0.000 0.000 0.000 Nd
0.498 0.498 0.498 Sm
0.294 0.294 0.294 Dy
0.795 0.795 0.795 Dy
0.087 0.679 0.412 S
0.185 0.586 0.906 S
0.412 0.087 0.679 S
0.586 0.906 0.185 S
0.679 0.412 0.087 S
0.906 0.185 0.586 S
```

The 10 most intense peaks (2θ = 15–90°), in order of rising 2θ:
d [Å]	2theta	Rel. int.
5.097	17.40	38.0
3.699	24.06	100.0
3.517	25.33	98.5
2.549	35.22	50.2
2.327	38.70	74.9
2.064	43.87	49.2
2.030	44.63	48.5
1.781	51.30	24.3
1.588	58.08	28.0
1.448	64.35	23.9

---

Record 11
This entry pairs a crystal structure of TbNd4DyS8 with its simulated powder X-ray diffraction pattern. Radiation: λ = 1.5418 Å (Cu Kα). Structure: a structure optimized by DFT (GGA-PBE).

Cell and atoms:
```
TbNd4DyS8
1.0
4.134 2.387 6.724
-4.134 2.387 6.724
0.000 -4.773 6.724
Tb Nd Dy S
1 4 1 8
Direct
0.000 0.000 0.000 Tb
0.000 0.000 0.496 Nd
0.000 0.496 0.000 Nd
0.496 0.000 0.000 Nd
0.623 0.623 0.623 Nd
0.375 0.375 0.375 Dy
0.221 0.763 0.763 S
0.239 0.239 0.764 S
0.239 0.764 0.239 S
0.246 0.246 0.246 S
0.756 0.756 0.756 S
0.763 0.221 0.763 S
0.763 0.763 0.221 S
0.764 0.239 0.239 S
```

The 10 most intense peaks (2θ = 15–90°), in order of rising 2θ:
d [Å]	2theta	Rel. int.
4.129	21.52	27.4
3.520	25.30	100.0
3.371	26.44	11.8
2.919	30.63	18.4
2.248	40.12	41.0
2.067	43.80	29.2
2.062	43.92	29.2
1.782	51.27	11.1
1.521	60.89	14.7
1.193	80.55	14.1

---

Record 12
This entry pairs a crystal structure of Tb3NdDy2S6 with its simulated powder X-ray diffraction pattern. Radiation: λ = 1.5418 Å (Cu Kα). Structure: a structure optimized by DFT (GGA-PBE).

Cell and atoms:
```
Tb3NdDy2S6
1.0
3.410 -5.928 0.000
3.410 5.928 0.000
-2.279 0.000 6.435
Tb Nd Dy S
3 1 2 6
Direct
0.000 0.000 0.000 Tb
0.338 0.662 0.000 Tb
0.662 0.338 0.000 Tb
0.500 0.500 0.500 Nd
0.166 0.834 0.500 Dy
0.834 0.166 0.500 Dy
0.073 0.415 0.246 S
0.241 0.241 0.751 S
0.415 0.073 0.246 S
0.585 0.927 0.754 S
0.759 0.759 0.249 S
0.927 0.585 0.754 S
```

The 10 most intense peaks (2θ = 15–90°), in order of rising 2θ:
d [Å]	2theta	Rel. int.
3.223	27.67	40.3
3.216	27.74	40.2
2.788	32.10	100.0
1.973	45.99	36.0
1.970	46.07	35.9
1.683	54.54	19.7
1.680	54.62	19.7
1.612	57.15	12.4
1.608	57.30	12.4
1.247	76.37	15.9